(1)
For POsSe, a DFT-relaxed cell (PBE, the Materials Project) gives the theoretical X-ray diffraction stick pattern in this record (copper Kα).
Lines closer than 0.1° are merged.

Top 12 peaks for 10 to 90 degrees two-theta, in order of rising 2θ:
d (Å)  I/Imax
3.842  100
2.993  41
2.937  23
2.819  52
2.775  54
2.052  25
2.035  28
1.920  42
1.892  35
1.853  33
1.717  31
1.608  19

Structural model:
```
POsSe
1.0
5.9918 0.0000 0.0000
0.0000 5.9851 0.0000
-2.2928 0.0000 5.6372
P Os Se
4 4 4
direct
0.1428 0.1297 0.3842 P
0.1428 0.3703 0.8842 P
0.8572 0.6297 0.1158 P
0.8572 0.8703 0.6158 P
0.2631 0.0122 0.7906 Os
0.2631 0.4878 0.2906 Os
0.7369 0.5122 0.7094 Os
0.7369 0.9878 0.2094 Os
0.3353 0.6255 0.6938 Se
0.3353 0.8745 0.1938 Se
0.6647 0.1255 0.8062 Se
0.6647 0.3745 0.3062 Se
```

(2)
For AgAuO3, a DFT-relaxed cell (PBE, the Materials Project) gives the theoretical X-ray diffraction stick pattern in this record (copper Kα).
Lines closer than 0.1° are merged.

Top 12 peaks for 10 to 90 degrees two-theta, in order of rising 2θ:
d (Å)  I/Imax
5.949  13
3.107  7
2.974  100
2.576  37
1.821  44
1.742  3
1.553  43
1.487  10
1.341  2
1.288  7
1.182  18
1.152  15

Structural model:
```
AgAuO3
1.0
0.0000 5.1519 5.1519
5.1519 0.0000 5.1519
5.1519 5.1519 0.0000
Ag Au O
4 4 12
direct
0.0000 0.0000 0.0000 Ag
0.0000 0.0000 0.5000 Ag
0.0000 0.5000 0.0000 Ag
0.5000 0.0000 0.0000 Ag
0.0000 0.5000 0.5000 Au
0.5000 0.0000 0.5000 Au
0.5000 0.5000 0.0000 Au
0.5000 0.5000 0.5000 Au
0.1587 0.1587 0.5913 O
0.1587 0.5913 0.1587 O
0.1587 0.5913 0.5913 O
0.4087 0.4087 0.8413 O
0.4087 0.8413 0.4087 O
0.4087 0.8413 0.8413 O
0.5913 0.1587 0.1587 O
0.5913 0.1587 0.5913 O
0.5913 0.5913 0.1587 O
0.8413 0.4087 0.4087 O
0.8413 0.4087 0.8413 O
0.8413 0.8413 0.4087 O
```

(3)
For Li3Cu3P2O8, a DFT-relaxed cell (PBE, the Materials Project) gives the theoretical X-ray diffraction stick pattern in this record (copper Kα).
Lines closer than 0.1° are merged.

Top 12 peaks for 10 to 90 degrees two-theta, in order of rising 2θ:
d (Å)  I/Imax
6.223  16
5.144  100
2.720  41
2.701  80
2.572  43
2.410  25
2.396  42
2.389  51
1.865  17
1.860  26
1.567  25
1.446  20

Structural model:
```
Li3Cu3P2O8
1.0
5.1438 0.0000 0.0000
0.0000 6.2233 0.0000
-0.0274 0.0000 5.4402
Li Cu P O
3 3 2 8
direct
0.0000 0.0000 0.0000 Li
0.9983 0.2539 0.5203 Li
0.9983 0.7461 0.5203 Li
0.5146 0.5000 0.6626 Cu
0.5219 0.2469 0.1872 Cu
0.5219 0.7531 0.1872 Cu
0.0071 0.5000 0.0201 P
0.5026 0.0000 0.6735 P
0.3099 0.5000 0.0208 O
0.3865 0.2022 0.5399 O
0.3865 0.7978 0.5399 O
0.3902 0.0000 0.9388 O
0.8032 0.0000 0.6690 O
0.9125 0.5000 0.7473 O
0.9154 0.2929 0.1570 O
0.9154 0.7071 0.1570 O
```

(4)
For MgAl2O4, a DFT-relaxed cell (PBE, the Materials Project) gives the theoretical X-ray diffraction stick pattern in this record (copper Kα).
Lines closer than 0.1° are merged.

Top 12 peaks for 10 to 90 degrees two-theta, in order of rising 2θ:
d (Å)  I/Imax
4.716  29
2.887  33
2.462  100
2.041  58
1.666  7
1.573  13
1.571  35
1.445  38
1.442  40
1.244  9
1.178  6
1.091  3

Structural model:
```
MgAl2O4
1.0
2.8841 1.6651 18.8947
-2.8841 1.6651 18.8947
0.0000 -3.3303 18.8947
Mg Al O
8 16 32
direct
0.0000 0.0000 0.0000 Mg
0.0605 0.0605 0.0605 Mg
0.1548 0.1548 0.1548 Mg
0.2488 0.2488 0.2488 Mg
0.3112 0.3112 0.3112 Mg
0.4046 0.4046 0.4046 Mg
0.5616 0.5616 0.5616 Mg
0.8105 0.8105 0.8105 Mg
0.0279 0.0279 0.5358 Al
0.0279 0.5358 0.0279 Al
0.0355 0.5273 0.5273 Al
0.2756 0.2756 0.7901 Al
0.2756 0.7901 0.2756 Al
0.2811 0.7802 0.7802 Al
0.4994 0.4994 0.4994 Al
0.5273 0.0355 0.5273 Al
0.5273 0.5273 0.0355 Al
0.5358 0.0279 0.0279 Al
0.6554 0.6554 0.6554 Al
0.7505 0.7505 0.7505 Al
0.7802 0.2811 0.7802 Al
0.7802 0.7802 0.2811 Al
0.7901 0.2756 0.2756 Al
0.9058 0.9058 0.9058 Al
0.0761 0.0761 0.6296 O
0.0761 0.6296 0.0761 O
0.0953 0.0953 0.0953 O
0.1086 0.5879 0.5879 O
0.1788 0.7360 0.7360 O
0.2133 0.2133 0.2133 O
0.2273 0.2273 0.6887 O
0.2273 0.6887 0.2273 O
0.3418 0.3418 0.8506 O
0.3418 0.8506 0.3418 O
0.3452 0.3452 0.3452 O
0.3859 0.8231 0.8231 O
0.4377 0.9790 0.9790 O
0.4666 0.4666 0.4666 O
0.4848 0.4848 0.9299 O
0.4848 0.9299 0.4848 O
0.5879 0.1086 0.5879 O
0.5879 0.5879 0.1086 O
0.5961 0.5961 0.5961 O
0.6296 0.0761 0.0761 O
0.6887 0.2273 0.2273 O
0.7178 0.7178 0.7178 O
0.7360 0.1788 0.7360 O
0.7360 0.7360 0.1788 O
0.8231 0.3859 0.8231 O
0.8231 0.8231 0.3859 O
0.8460 0.8460 0.8460 O
0.8506 0.3418 0.3418 O
0.9299 0.4848 0.4848 O
0.9646 0.9646 0.9646 O
0.9790 0.4377 0.9790 O
0.9790 0.9790 0.4377 O
```

(5)
For MgTi2, a DFT-relaxed cell (PBE, the Materials Project) gives the theoretical X-ray diffraction stick pattern in this record (copper Kα).
Lines closer than 0.1° are merged.

Top 12 peaks for 10 to 90 degrees two-theta, in order of rising 2θ:
d (Å)  I/Imax
4.892  6
4.455  7
2.572  26
2.446  28
2.276  100
1.772  16
1.485  15
1.377  17
1.269  17
1.244  12
1.138  3
1.104  3

Structural model:
```
MgTi2
1.0
5.1439 0.0000 0.0000
-2.5719 4.4547 0.0000
0.0000 0.0000 4.8918
Mg Ti
2 4
direct
0.3333 0.6667 0.0000 Mg
0.6667 0.3333 0.0000 Mg
0.0000 0.0000 0.0000 Ti
0.0000 0.3161 0.5000 Ti
0.3161 0.0000 0.5000 Ti
0.6839 0.6839 0.5000 Ti
```

(6)
For U2Re2C3, a DFT-relaxed cell (PBE, the Materials Project) gives the theoretical X-ray diffraction stick pattern in this record (copper Kα).
Lines closer than 0.1° are merged.

Top 12 peaks for 10 to 90 degrees two-theta, in order of rising 2θ:
d (Å)  I/Imax
3.454  15
2.791  63
2.725  58
2.507  100
2.303  80
2.213  27
1.799  18
1.583  21
1.521  14
1.391  13
1.336  14
1.328  18

Structural model:
```
U2Re2C3
1.0
5.7809 -1.5211 0.0000
5.7809 1.5211 0.0000
-1.4643 0.0000 5.3975
U Re C
2 2 3
direct
0.1024 0.1024 0.3266 U
0.8976 0.8976 0.6734 U
0.3452 0.3452 0.1296 Re
0.6548 0.6548 0.8704 Re
0.2464 0.2464 0.7401 C
0.5000 0.5000 0.0000 C
0.7536 0.7536 0.2599 C
```